# 1
Starting from a crystal structure in Alexandria, relaxed with PBE, the powder X-ray diffraction pattern of PuTh5Hg4 was calculated for Cu Ka.
No peak broadening, texture or thermal motion is included.

Principal peaks in the range 2θ = 10–90°, most intense first:
32.27°, rel. 100
36.48°, rel. 36
63.02°, rel. 31
54.67°, rel. 23
39.27°, rel. 15
52.54°, rel. 13

Crystal structure
```
data_PuTh5Hg4
_chemical_formula_sum 'Pu1 Th5 Hg4'
_cell_length_a 3.483
_cell_length_b 3.483
_cell_length_c 22.940
_cell_angle_alpha 90.00
_cell_angle_beta 90.00
_cell_angle_gamma 90.00
_space_group_name_H-M_alt 'P 4/m m m'
_space_group_IT_number 123
_space_group_name_Hall '-P 4 2'
loop_
_atom_site_label
_atom_site_type_symbol
_atom_site_fract_x
_atom_site_fract_y
_atom_site_fract_z
Pu1 Pu 0.000 0.000 0.000
Th1 Th 0.500 0.500 0.102
Th2 Th 0.500 0.500 0.302
Th3 Th 0.500 0.500 0.500
Hg1 Hg 0.000 0.000 0.203
Hg2 Hg 0.000 0.000 0.401
```



# 2
Starting from a crystal structure in Alexandria, relaxed with PBE, the powder X-ray diffraction pattern of SrCa3In3 was calculated for Cu Ka.
No peak broadening, texture or thermal motion is included.

Principal peaks in the range 2θ = 10–90°, most intense first:
32.20°, rel. 100
32.68°, rel. 96
16.17°, rel. 43
57.71°, rel. 35
46.53°, rel. 35
27.93°, rel. 24

Crystal structure
```
data_SrCa3In3
_chemical_formula_sum 'Sr3 Ca9 In9'
_cell_length_a 11.1210
_cell_length_b 11.1210
_cell_length_c 6.6649
_cell_angle_alpha 90.00
_cell_angle_beta 90.00
_cell_angle_gamma 120.00
_space_group_name_H-M_alt 'R 3 m'
_space_group_IT_number 160
_space_group_name_Hall 'R 3 -2"'
loop_
_atom_site_label
_atom_site_type_symbol
_atom_site_fract_x
_atom_site_fract_y
_atom_site_fract_z
Sr1 Sr 0.0000 0.0000 0.0000
Ca1 Ca 0.0002 0.5001 0.0009
In1 In 0.9999 0.4999 0.5010
```



# 3
Starting from a crystal structure in Alexandria, relaxed with PBE, the powder X-ray diffraction pattern of Ho6Cd4Pb7 was calculated for Cu Ka.
No peak broadening, texture or thermal motion is included.

Principal peaks in the range 2θ = 10–90°, most intense first:
31.01°, rel. 100
35.95°, rel. 69
51.76°, rel. 42
61.57°, rel. 32
33.56°, rel. 22
42.43°, rel. 17

Crystal structure
```
data_Ho6Cd4Pb7
_chemical_formula_sum 'Ho12 Cd8 Pb14'
_cell_length_a 9.991
_cell_length_b 9.991
_cell_length_c 9.991
_cell_angle_alpha 90.00
_cell_angle_beta 90.00
_cell_angle_gamma 90.00
_space_group_name_H-M_alt 'I m -3 m'
_space_group_IT_number 229
_space_group_name_Hall '-I 4 2 3'
loop_
_atom_site_label
_atom_site_type_symbol
_atom_site_fract_x
_atom_site_fract_y
_atom_site_fract_z
Ho1 Ho 0.000 0.000 0.295
Cd1 Cd 0.250 0.250 0.250
Pb1 Pb 0.000 0.000 0.000
Pb2 Pb 0.000 0.250 0.500
```



# 4
Starting from a crystal structure in Alexandria, relaxed with PBE, the powder X-ray diffraction pattern of CeRh3 was calculated for Cu Ka.
No peak broadening, texture or thermal motion is included.

Principal peaks in the range 2θ = 10–90°, most intense first:
38.36°, rel. 100
44.59°, rel. 49
77.97°, rel. 37
64.89°, rel. 31
82.16°, rel. 11
21.87°, rel. 2

Crystal structure
```
data_CeRh3
_chemical_formula_sum 'Ce1 Rh3'
_cell_length_a 4.064
_cell_length_b 4.064
_cell_length_c 4.064
_cell_angle_alpha 90.00
_cell_angle_beta 90.00
_cell_angle_gamma 90.00
_space_group_name_H-M_alt 'P m -3 m'
_space_group_IT_number 221
_space_group_name_Hall '-P 4 2 3'
loop_
_atom_site_label
_atom_site_type_symbol
_atom_site_fract_x
_atom_site_fract_y
_atom_site_fract_z
Ce1 Ce 0.000 0.000 0.000
Rh1 Rh 0.000 0.500 0.500
```



# 5
Starting from a crystal structure in Alexandria, relaxed with PBE, the powder X-ray diffraction pattern of Mn2PtPb was calculated for Cu Ka.
No peak broadening, texture or thermal motion is included.

Principal peaks in the range 2θ = 10–90°, most intense first:
37.90°, rel. 100
43.12°, rel. 35
22.47°, rel. 28
30.12°, rel. 28
64.77°, rel. 21
49.16°, rel. 16

Crystal structure
```
data_Mn2PtPb
_chemical_formula_sum 'Mn8 Pt4 Pb4'
_cell_length_a 5.925
_cell_length_b 5.943
_cell_length_c 7.914
_cell_angle_alpha 90.00
_cell_angle_beta 90.00
_cell_angle_gamma 90.00
_space_group_name_H-M_alt 'F m m m'
_space_group_IT_number 69
_space_group_name_Hall '-F 2 2'
loop_
_atom_site_label
_atom_site_type_symbol
_atom_site_fract_x
_atom_site_fract_y
_atom_site_fract_z
Mn1 Mn 0.250 0.250 0.250
Pt1 Pt 0.000 0.000 0.000
Pb1 Pb 0.000 0.000 0.500
```



# 6
Starting from a crystal structure in Alexandria, relaxed with PBE, the powder X-ray diffraction pattern of Sm2ZnAs3Pt4 was calculated for Cu Ka.
No peak broadening, texture or thermal motion is included.

Principal peaks in the range 2θ = 10–90°, most intense first:
34.13°, rel. 100
41.94°, rel. 69
33.22°, rel. 54
45.95°, rel. 34
54.52°, rel. 27
48.70°, rel. 26

Crystal structure
```
data_Sm2ZnAs3Pt4
_chemical_formula_sum 'Sm2 Zn1 As3 Pt4'
_cell_length_a 4.308
_cell_length_b 4.308
_cell_length_c 10.377
_cell_angle_alpha 90.00
_cell_angle_beta 90.00
_cell_angle_gamma 90.00
_space_group_name_H-M_alt 'P -4 m 2'
_space_group_IT_number 115
_space_group_name_Hall 'P -4 -2'
loop_
_atom_site_label
_atom_site_type_symbol
_atom_site_fract_x
_atom_site_fract_y
_atom_site_fract_z
Sm1 Sm 0.000 0.500 0.241
Zn1 Zn 0.000 0.000 0.500
As1 As 0.000 0.500 0.864
As2 As 0.500 0.500 0.500
Pt1 Pt 0.000 0.000 0.000
Pt2 Pt 0.000 0.500 0.630
Pt3 Pt 0.500 0.500 0.000
```



# 7
Starting from a crystal structure in Alexandria, relaxed with PBE, the powder X-ray diffraction pattern of ScIrPb was calculated for Cu Ka.
No peak broadening, texture or thermal motion is included.

Principal peaks in the range 2θ = 10–90°, most intense first:
38.52°, rel. 100
33.22°, rel. 79
23.30°, rel. 43
41.59°, rel. 43
42.10°, rel. 39
45.91°, rel. 35

Crystal structure
```
data_ScIrPb
_chemical_formula_sum 'Sc4 Ir4 Pb4'
_cell_length_a 6.932
_cell_length_b 4.293
_cell_length_c 8.358
_cell_angle_alpha 90.00
_cell_angle_beta 90.00
_cell_angle_gamma 90.00
_space_group_name_H-M_alt 'P n m a'
_space_group_IT_number 62
_space_group_name_Hall '-P 2ac 2n'
loop_
_atom_site_label
_atom_site_type_symbol
_atom_site_fract_x
_atom_site_fract_y
_atom_site_fract_z
Sc1 Sc 0.042 0.250 0.241
Ir1 Ir 0.126 0.250 0.913
Pb1 Pb 0.206 0.250 0.581
```



# 8
Starting from a crystal structure in Alexandria, relaxed with PBE, the powder X-ray diffraction pattern of Ca3PuTl4 was calculated for Cu Ka.
No peak broadening, texture or thermal motion is included.

Principal peaks in the range 2θ = 10–90°, most intense first:
32.44°, rel. 100
33.23°, rel. 47
58.88°, rel. 37
57.36°, rel. 20
47.71°, rel. 17
23.33°, rel. 16

Crystal structure
```
data_Ca3PuTl4
_chemical_formula_sum 'Ca3 Pu1 Tl4'
_cell_length_a 3.813
_cell_length_b 3.813
_cell_length_c 16.000
_cell_angle_alpha 90.00
_cell_angle_beta 90.00
_cell_angle_gamma 90.00
_space_group_name_H-M_alt 'P 4/m m m'
_space_group_IT_number 123
_space_group_name_Hall '-P 4 2'
loop_
_atom_site_label
_atom_site_type_symbol
_atom_site_fract_x
_atom_site_fract_y
_atom_site_fract_z
Ca1 Ca 0.000 0.000 0.000
Ca2 Ca 0.000 0.000 0.249
Pu1 Pu 0.000 0.000 0.500
Tl1 Tl 0.500 0.500 0.126
Tl2 Tl 0.500 0.500 0.374
```



# 9
Starting from a crystal structure in Alexandria, relaxed with PBE, the powder X-ray diffraction pattern of Li3Ca2Br7 was calculated for Cu Ka.
No peak broadening, texture or thermal motion is included.

Principal peaks in the range 2θ = 10–90°, most intense first:
27.09°, rel. 100
27.39°, rel. 84
25.47°, rel. 69
29.80°, rel. 56
28.27°, rel. 49
32.54°, rel. 48

Crystal structure
```
data_Li3Ca2Br7
_chemical_formula_sum 'Li12 Ca8 Br28'
_cell_length_a 25.829
_cell_length_b 7.283
_cell_length_c 7.266
_cell_angle_alpha 90.00
_cell_angle_beta 90.00
_cell_angle_gamma 90.00
_space_group_name_H-M_alt 'C m c 21'
_space_group_IT_number 36
_space_group_name_Hall 'C 2c -2'
loop_
_atom_site_label
_atom_site_type_symbol
_atom_site_fract_x
_atom_site_fract_y
_atom_site_fract_z
Li1 Li 0.000 0.229 0.000
Li2 Li 0.209 0.296 0.955
Ca1 Ca 0.105 0.245 0.485
Br1 Br 0.000 0.109 0.366
Br2 Br 0.072 0.407 0.826
Br3 Br 0.143 0.098 0.144
Br4 Br 0.210 0.374 0.590
```